(1)
This entry pairs a crystal structure of FePPd4Pt with its simulated PXRD pattern. Radiation: CuKα. Structure: a DFT-relaxed cell (PBE, OQMD).
Neutral-atom scattering factors, no anomalous dispersion.

Principal peaks in the range 2θ = 10–90°, by angle:
2θ (°), d (Å), I_rel
12.8, 6.892, 11.3
22.7, 3.911, 15.1
35.0, 2.566, 41.8
39.2, 2.297, 19.0
41.9, 2.157, 100.0
46.4, 1.955, 43.6
62.4, 1.489, 19.2
67.8, 1.383, 13.8
77.4, 1.234, 15.0
83.0, 1.164, 26.9

Structure:
Cell: 3.9107 3.9107 6.8921 Å, 90.00 90.00 90.00°
Fractional positions:
1 Fe 0.0000 0.0000 0.0000
2 P 0.5000 0.5000 0.5000
3 Pd 0.0000 0.5000 0.2909
4 Pd 0.0000 0.5000 0.7091
5 Pd 0.5000 0.0000 0.2909
6 Pd 0.5000 0.0000 0.7091
7 Pt 0.5000 0.5000 0.0000

=====

(2)
This entry pairs a crystal structure of RbFePS4 with its simulated PXRD pattern. Radiation: CuKα. Structure: a DFT-relaxed cell (PBE, OQMD).
Neutral-atom scattering factors, no anomalous dispersion.

Principal peaks in the range 2θ = 10–90°, by angle:
2θ (°), d (Å), I_rel
15.2, 5.833, 45.2
21.2, 4.196, 83.3
21.5, 4.124, 100.0
25.2, 3.528, 44.0
30.7, 2.916, 46.9
32.9, 2.720, 32.1
36.9, 2.437, 62.2
37.6, 2.395, 52.1
43.1, 2.098, 34.3
53.8, 1.703, 49.4

Structure:
Cell: 8.3976 8.3976 8.3976 Å, 121.17 121.17 87.98°
Fractional positions:
1 Rb 0.2500 0.2500 0.0000
2 Rb 0.7500 0.7500 0.0000
3 Fe 0.0000 0.5000 0.5000
4 Fe 0.5000 0.0000 0.5000
5 P 0.2500 0.7500 0.5000
6 P 0.7500 0.2500 0.5000
7 S 0.0033 0.5033 0.2359
8 S 0.2326 0.9967 0.5000
9 S 0.2674 0.7674 0.7641
10 S 0.4967 0.7326 0.5000
11 S 0.5033 0.2674 0.5000
12 S 0.7326 0.2326 0.2359
13 S 0.7674 0.0033 0.5000
14 S 0.9967 0.4967 0.7641

=====

(3)
This entry pairs a crystal structure of FeP3S6 with its simulated PXRD pattern. Radiation: CuKα. Structure: a DFT-relaxed cell (PBE, OQMD).
Neutral-atom scattering factors, no anomalous dispersion.

Principal peaks in the range 2θ = 10–90°, by angle:
2θ (°), d (Å), I_rel
19.0, 4.676, 100.0
22.7, 3.909, 14.7
31.5, 2.839, 57.1
37.8, 2.380, 56.0
40.7, 2.218, 19.6
42.7, 2.120, 75.1
51.8, 1.765, 15.0
54.5, 1.684, 49.5
61.4, 1.510, 24.8
71.5, 1.319, 14.3

Structure:
Cell: 5.8376 5.8376 12.3394 Å, 90.00 90.00 120.09°
Fractional positions:
1 Fe 0.1672 0.8328 0.7500
2 Fe 0.8328 0.1672 0.2500
3 P 0.1662 0.8326 0.5505
4 P 0.1674 0.8338 0.9495
5 P 0.4971 0.4971 0.5000
6 P 0.5029 0.5029 0.0000
7 P 0.8326 0.1662 0.4495
8 P 0.8338 0.1674 0.0505
9 S 0.1504 0.1662 0.3628
10 S 0.1499 0.4843 0.1375
11 S 0.1662 0.1504 0.6372
12 S 0.1659 0.5165 0.8624
13 S 0.4835 0.8341 0.6376
14 S 0.4843 0.1499 0.8625
15 S 0.5157 0.8501 0.3625
16 S 0.5165 0.1659 0.1376
17 S 0.8341 0.4835 0.3624
18 S 0.8338 0.8496 0.1372
19 S 0.8501 0.5157 0.6375
20 S 0.8496 0.8338 0.8628